The following is a calculated powder diffractogram of UW3O11. It was derived from a cell relaxed with GGA+U, using copper Kα.

Crystal structure
a b c (Å): 7.627 3.930 14.206
angles (deg): 90.00 90.00 90.00
Space group Pmma (No. 51)
Inequivalent atoms, fractional coordinates:
U 0.250 0.000 0.016 [2 per cell]
W 0.000 0.000 0.232 [4 per cell]
W 0.000 0.000 0.500 [2 per cell]
O 0.000 0.500 0.500 [2 per cell]
O 0.002 0.500 0.228 [4 per cell]
O 0.035 0.000 0.911 [4 per cell]
O 0.038 0.000 0.361 [4 per cell]
O 0.250 0.000 0.192 [2 per cell]
O 0.250 0.000 0.519 [2 per cell]
O 0.250 0.000 0.757 [2 per cell]
O 0.250 0.500 0.030 [2 per cell]

Most intense lines, 2θ from 5° to 70°, sorted by position:
22.6 deg, intensity 100
24.2 deg, intensity 36
25.1 deg, intensity 66
26.5 deg, intensity 33
30.1 deg, intensity 38
33.3 deg, intensity 23
34.0 deg, intensity 43
38.0 deg, intensity 28